Structure and simulated PXRD pattern of Er3SN2 (a DFT-relaxed cell (GGA-PBE, Alexandria); Cu Kα (weighted mean of Kα1 and Kα2)).

Structural model:
a = 3.6155 Å, b = 3.6155 Å, c = 15.0463 Å
α = 90.00°, β = 90.00°, γ = 90.00°
Space group I4/mmm (No. 139)
Symmetry-distinct sites (fractional):
Er 0.0000 0.0000 0.0000 (multiplicity 2)
Er 0.0000 0.0000 0.3226 (multiplicity 4)
S 0.0000 0.0000 0.5000 (multiplicity 2)
N 0.0000 0.0000 0.1693 (multiplicity 4)

Largest 12 diffraction maxima, by angle, 2θ from 10° to 90°:
Position (°2θ)	d/Å	I (rel.)	index
30.5	2.933	100	1 0 3
35.1	2.557	59	1 1 0
35.8	2.508	25	0 0 6
50.5	1.808	21	2 0 0
51.0	1.790	36	1 1 6
60.1	1.539	31	2 1 3
61.1	1.517	11	1 0 9
63.4	1.466	18	2 0 6
74.2	1.278	8	2 2 0
83.1	1.162	10	2 1 9
84.8	1.143	9	3 1 0
85.2	1.139	8	2 2 6

Structure and simulated PXRD pattern of Er3ScN (a DFT-relaxed cell (GGA-PBE, Alexandria); Cu Kα (weighted mean of Kα1 and Kα2)).

Structural model:
a = 4.8420 Å, b = 4.8420 Å, c = 4.8420 Å
α = 90.00°, β = 90.00°, γ = 90.00°
Space group Pm-3m (No. 221)
Symmetry-distinct sites (fractional):
Er 0.0000 0.0000 0.5000 (multiplicity 3)
Sc 0.5000 0.5000 0.5000 (multiplicity 1)
N 0.0000 0.0000 0.0000 (multiplicity 1)

Largest 12 diffraction maxima, by angle, 2θ from 10° to 90°:
Position (°2θ)	d/Å	I (rel.)	index
18.3	4.842	19	1 0 0
26.0	3.424	10	1 1 0
32.0	2.796	100	1 1 1
37.1	2.421	56	2 0 0
41.7	2.165	9	2 1 0
45.9	1.977	5	2 1 1
53.5	1.712	38	2 2 0
57.1	1.614	5	3 0 0
63.7	1.460	42	3 1 1
66.9	1.398	13	2 2 2
79.1	1.210	6	4 0 0
87.9	1.111	18	3 3 1

Structure and simulated PXRD pattern of Er5Se4N (a DFT-relaxed cell (GGA-PBE, Alexandria); Cu Kα (weighted mean of Kα1 and Kα2)).

Structural model:
a = 3.9077 Å, b = 3.9077 Å, c = 28.4246 Å
α = 90.00°, β = 90.00°, γ = 90.00°
Space group I4/mmm (No. 139)
Symmetry-distinct sites (fractional):
Er 0.0000 0.0000 0.0000 (multiplicity 2)
Er 0.0000 0.0000 0.2078 (multiplicity 4)
Er 0.0000 0.0000 0.4210 (multiplicity 4)
Se 0.0000 0.0000 0.1001 (multiplicity 4)
Se 0.0000 0.0000 0.3092 (multiplicity 4)
N 0.0000 0.0000 0.5000 (multiplicity 2)

Largest 12 diffraction maxima, by angle, 2θ from 10° to 90°:
Position (°2θ)	d/Å	I (rel.)	index
27.7	3.220	39	1 0 5
31.5	2.842	29	0 0 10
32.4	2.763	100	1 1 0
36.6	2.456	41	1 0 9
45.8	1.981	41	1 1 10
46.5	1.954	37	2 0 0
57.2	1.610	21	2 0 10
60.6	1.529	19	2 1 9
67.0	1.397	20	1 0 19
77.2	1.236	16	3 1 0
85.4	1.136	21	2 1 19
85.7	1.133	13	3 1 10

Structure and simulated PXRD pattern of TbErSeN (a DFT-relaxed cell (GGA-PBE, Alexandria); Cu Kα (weighted mean of Kα1 and Kα2)).

Structural model:
a = 3.6580 Å, b = 3.6580 Å, c = 19.4976 Å
α = 90.00°, β = 90.00°, γ = 120.00°
Space group R3m (No. 160, hexagonal axes)
Symmetry-distinct sites (fractional):
Tb 0.0000 0.0000 0.0000 (multiplicity 3)
Er 0.0000 0.0000 0.4657 (multiplicity 3)
Se 0.0000 0.0000 0.2315 (multiplicity 3)
N 0.0000 0.0000 0.7355 (multiplicity 3)

Largest 12 diffraction maxima, by angle, 2θ from 10° to 90°:
Position (°2θ)	d/Å	I (rel.)	index
27.4	3.250	10	0 0 6
28.5	3.127	10	1 0 1
29.7	3.013	46	0 1 2
33.7	2.656	100	1 0 4
36.5	2.459	29	0 1 5
41.7	2.166	14	0 0 9
47.0	1.932	24	0 1 8
49.9	1.829	38	1 1 0
61.6	1.506	17	0 2 4
67.0	1.398	21	1 1 9
69.3	1.356	12	1 0 13
83.1	1.163	15	2 1 4

Structure and simulated PXRD pattern of ErThSe2N (a DFT-relaxed cell (GGA-PBE, Alexandria); Cu Kα (weighted mean of Kα1 and Kα2)).

Structural model:
a = 4.0541 Å, b = 4.0541 Å, c = 14.5514 Å
α = 90.00°, β = 90.00°, γ = 90.00°
Space group P4/nmm (No. 129, origin choice 2)
Symmetry-distinct sites (fractional):
Er 0.2500 0.2500 0.1197 (multiplicity 2)
Th 0.2500 0.2500 0.5812 (multiplicity 2)
Se 0.2500 0.2500 0.3000 (multiplicity 2)
Se 0.2500 0.2500 0.9104 (multiplicity 2)
N 0.2500 0.7500 0.5000 (multiplicity 2)

Largest 12 diffraction maxima, by angle, 2θ from 10° to 90°:
Position (°2θ)	d/Å	I (rel.)	index
12.2	7.276	20	0 0 2
24.5	3.638	25	0 0 4
25.1	3.541	66	1 0 2
28.7	3.111	43	1 0 3
31.2	2.867	100	1 1 0
33.1	2.708	33	1 0 4
38.1	2.364	25	1 0 5
40.0	2.252	33	1 1 4
44.7	2.027	41	2 0 0
49.2	1.851	21	1 1 6
52.0	1.759	20	2 1 2
73.9	1.282	17	3 1 0

Structure and simulated PXRD pattern of Er8Tl3Se3N (a DFT-relaxed cell (GGA-PBE, Alexandria); Cu Kα (weighted mean of Kα1 and Kα2)).

Structural model:
a = 13.4603 Å, b = 7.7747 Å, c = 8.8671 Å
α = 90.00°, β = 120.35°, γ = 90.00°
Space group C2/m (No. 12)
Symmetry-distinct sites (fractional):
Er 0.0086 0.2170 0.3087 (multiplicity 8)
Er 0.2080 0.0000 0.6914 (multiplicity 4)
Er 0.2391 0.5000 0.7176 (multiplicity 4)
Tl 0.0000 0.0000 0.0000 (multiplicity 2)
Tl 0.2500 0.2500 0.0000 (multiplicity 4)
Se 0.0000 0.5000 0.5000 (multiplicity 2)
Se 0.2500 0.2500 0.5000 (multiplicity 4)
N 0.0000 0.0000 0.5000 (multiplicity 2)

Largest 12 diffraction maxima, by angle, 2θ from 10° to 90°:
Position (°2θ)	d/Å	I (rel.)	index
13.7	6.460	19	2 0 -1
26.8	3.330	8	4 0 -1
30.8	2.903	100	2 2 -2
33.0	2.715	21	2 2 1
35.2	2.551	12	0 0 3
41.3	2.184	31	4 0 -4
46.7	1.943	31	0 4 0
57.0	1.615	14	4 4 0
59.1	1.564	10	4 0 3
59.8	1.546	12	6 2 1
64.2	1.452	8	4 4 -4
76.7	1.242	10	2 6 -2